# 1
KErP4O12: theoretical XRD peak list (Cu Kα X-rays), based on a structure optimized by DFT (PBE).

Cell and atoms:
```
data_KErP4O12
_chemical_formula_sum 'K2 Er2 P8 O24'
_symmetry_space_group_name_H-M 'P 1 21 1'
_symmetry_Int_Tables_number 4
_cell_length_a 7.154
_cell_length_b 8.179
_cell_length_c 7.814
_cell_angle_alpha 90.00
_cell_angle_beta 91.95
_cell_angle_gamma 90.00
loop_
_symmetry_equiv_pos_as_xyz
'x,y,z'
'-x,y+1/2,-z'
loop_
_atom_site_label
_atom_site_type_symbol
_atom_site_fract_x
_atom_site_fract_y
_atom_site_fract_z
K1 K 0.227 0.000 0.279
Er1 Er 0.264 0.301 0.756
P1 P 0.061 0.926 0.906
P2 P 0.119 0.558 0.402
P3 P 0.401 0.715 0.903
P4 P 0.498 0.952 0.617
O1 O 0.026 0.715 0.352
O2 O 0.045 0.412 0.278
O3 O 0.076 0.399 0.956
O4 O 0.113 0.501 0.583
O5 O 0.182 0.074 0.929
O6 O 0.185 0.764 0.887
O7 O 0.322 0.052 0.613
O8 O 0.331 0.574 0.345
O9 O 0.417 0.549 0.826
O10 O 0.468 0.350 0.537
O11 O 0.474 0.746 0.082
O12 O 0.487 0.342 0.214
```

The 10 most intense peaks (2θ = 10–90°), by intensity:
16.49 deg, I 100; 27.82 deg, I 99; 15.69 deg, I 79; 27.42 deg, I 65; 29.23 deg, I 51; 17.10 deg, I 49; 29.91 deg, I 46; 35.23 deg, I 25; 28.58 deg, I 25; 36.21 deg, I 23

# 2
KErS2O8: theoretical XRD peak list (Cu Kα X-rays), based on a structure optimized by DFT (PBE).

Cell and atoms:
```
data_KErS2O8
_chemical_formula_sum 'K4 Er4 S8 O32'
_symmetry_space_group_name_H-M 'P 1 21/c 1'
_symmetry_Int_Tables_number 14
_cell_length_a 5.389
_cell_length_b 13.233
_cell_length_c 9.947
_cell_angle_alpha 90.00
_cell_angle_beta 119.89
_cell_angle_gamma 90.00
loop_
_symmetry_equiv_pos_as_xyz
'x,y,z'
'-x,-y,-z'
'-x,y+1/2,-z+1/2'
'x,-y+1/2,z+1/2'
loop_
_atom_site_label
_atom_site_type_symbol
_atom_site_fract_x
_atom_site_fract_y
_atom_site_fract_z
K1 K 0.081 0.088 0.335
Er1 Er 0.414 0.648 0.695
S1 S 0.144 0.660 0.897
S2 S 0.330 0.116 0.078
O1 O 0.024 0.095 0.968
O2 O 0.078 0.730 0.768
O3 O 0.112 0.097 0.638
O4 O 0.245 0.710 0.047
O5 O 0.352 0.216 0.149
O6 O 0.373 0.592 0.906
O7 O 0.445 0.037 0.200
O8 O 0.493 0.116 0.995
```

The 10 most intense peaks (2θ = 10–90°), by intensity:
16.89 deg, I 100; 30.37 deg, I 48; 26.95 deg, I 48; 26.70 deg, I 47; 19.88 deg, I 38; 32.96 deg, I 36; 33.29 deg, I 35; 29.19 deg, I 32; 27.98 deg, I 31; 19.00 deg, I 26

# 3
K3ErSi3O9: theoretical XRD peak list (Cu Kα X-rays), based on a structure optimized by DFT (PBE).

Cell and atoms:
```
data_K3ErSi3O9
_chemical_formula_sum 'K3 Er1 Si3 O9'
_symmetry_space_group_name_H-M 'P 1'
_symmetry_Int_Tables_number 1
_cell_length_a 6.620
_cell_length_b 6.655
_cell_length_c 6.668
_cell_angle_alpha 108.90
_cell_angle_beta 106.72
_cell_angle_gamma 107.65
loop_
_symmetry_equiv_pos_as_xyz
'x,y,z'
loop_
_atom_site_label
_atom_site_type_symbol
_atom_site_fract_x
_atom_site_fract_y
_atom_site_fract_z
K1 K 0.000 0.000 0.000
K2 K 0.157 0.078 0.582
K3 K 0.745 0.362 0.020
Er1 Er 0.475 0.561 0.454
Si1 Si 0.008 0.531 0.589
Si2 Si 0.452 0.675 0.989
Si3 Si 0.597 0.086 0.441
O1 O 0.102 0.429 0.397
O2 O 0.226 0.719 0.853
O3 O 0.368 0.474 0.074
O4 O 0.412 0.185 0.352
O5 O 0.526 0.935 0.577
O6 O 0.584 0.611 0.825
O7 O 0.642 0.937 0.217
O8 O 0.853 0.664 0.518
O9 O 0.861 0.307 0.630
```

The 10 most intense peaks (2θ = 10–90°), by intensity:
15.54 deg, I 100; 28.20 deg, I 60; 16.58 deg, I 58; 31.38 deg, I 50; 28.39 deg, I 48; 15.65 deg, I 42; 28.74 deg, I 35; 16.36 deg, I 27; 43.24 deg, I 25; 31.61 deg, I 24

# 4
KErTeO: theoretical XRD peak list (Cu Kα X-rays), based on a structure optimized by DFT (PBE).

Cell and atoms:
```
data_KErTeO
_chemical_formula_sum 'K4 Er4 Te4 O4'
_symmetry_space_group_name_H-M 'P 1 21/c 1'
_symmetry_Int_Tables_number 14
_cell_length_a 8.876
_cell_length_b 7.371
_cell_length_c 6.594
_cell_angle_alpha 90.00
_cell_angle_beta 97.44
_cell_angle_gamma 90.00
loop_
_symmetry_equiv_pos_as_xyz
'x,y,z'
'-x,-y,-z'
'-x,y+1/2,-z+1/2'
'x,-y+1/2,z+1/2'
loop_
_atom_site_label
_atom_site_type_symbol
_atom_site_fract_x
_atom_site_fract_y
_atom_site_fract_z
K1 K 0.130 0.112 0.350
Er1 Er 0.489 0.634 0.789
Te1 Te 0.242 0.578 0.385
O1 O 0.428 0.143 0.389
```

The 10 most intense peaks (2θ = 10–90°), by intensity:
10.05 deg, I 100; 28.99 deg, I 62; 30.41 deg, I 52; 35.65 deg, I 30; 33.49 deg, I 22; 48.51 deg, I 19; 25.89 deg, I 15; 34.08 deg, I 12; 31.92 deg, I 11; 28.57 deg, I 11

# 5
K4ErTm: theoretical XRD peak list (Cu Kα X-rays), based on a structure optimized by DFT (PBE).

Cell and atoms:
```
data_K4ErTm
_chemical_formula_sum 'K8 Er2 Tm2'
_symmetry_space_group_name_H-M 'A m m 2'
_symmetry_Int_Tables_number 38
_cell_length_a 7.491
_cell_length_b 3.882
_cell_length_c 21.475
_cell_angle_alpha 90.00
_cell_angle_beta 90.00
_cell_angle_gamma 90.00
loop_
_symmetry_equiv_pos_as_xyz
'x,y,z'
'-x,-y,z'
'-x,y,z'
'x,-y,z'
'x,y+1/2,z+1/2'
'-x,-y+1/2,z+1/2'
'-x,y+1/2,z+1/2'
'x,-y+1/2,z+1/2'
loop_
_atom_site_label
_atom_site_type_symbol
_atom_site_fract_x
_atom_site_fract_y
_atom_site_fract_z
K1 K 0.000 0.000 0.000
K2 K 0.000 0.000 0.328
K3 K 0.000 0.000 0.657
K4 K 0.500 0.000 0.829
Er1 Er 0.500 0.000 0.144
Tm1 Tm 0.500 0.000 0.513
```

The 10 most intense peaks (2θ = 10–90°), by intensity:
28.75 deg, I 100; 11.81 deg, I 51; 23.75 deg, I 44; 14.42 deg, I 35; 24.88 deg, I 28; 44.99 deg, I 28; 33.34 deg, I 27; 34.66 deg, I 24; 35.56 deg, I 23; 26.13 deg, I 19

# 6
LaErO4: theoretical XRD peak list (Cu Kα X-rays), based on a structure optimized by DFT (PBE).

Cell and atoms:
```
data_LaErO4
_chemical_formula_sum 'La2 Er2 O8'
_symmetry_space_group_name_H-M 'C 1 m 1'
_symmetry_Int_Tables_number 8
_cell_length_a 6.768
_cell_length_b 3.827
_cell_length_c 6.322
_cell_angle_alpha 90.00
_cell_angle_beta 97.27
_cell_angle_gamma 90.00
loop_
_symmetry_equiv_pos_as_xyz
'x,y,z'
'x,-y,z'
'x+1/2,y+1/2,z'
'x+1/2,-y+1/2,z'
loop_
_atom_site_label
_atom_site_type_symbol
_atom_site_fract_x
_atom_site_fract_y
_atom_site_fract_z
La1 La 0.000 0.000 0.000
Er1 Er 0.116 0.500 0.538
O1 O 0.156 0.500 0.892
O2 O 0.216 0.000 0.351
O3 O 0.383 0.000 0.219
O4 O 0.452 0.500 0.608
```

The 10 most intense peaks (2θ = 10–90°), by intensity:
29.61 deg, I 100; 28.48 deg, I 58; 31.23 deg, I 37; 26.55 deg, I 34; 50.07 deg, I 28; 47.04 deg, I 27; 31.79 deg, I 25; 47.52 deg, I 19; 56.34 deg, I 18; 58.85 deg, I 18

# 7
La2ErO4: theoretical XRD peak list (Cu Kα X-rays), based on a structure optimized by DFT (PBE).

Cell and atoms:
Lattice parameters (Å, degrees): 9.949 9.949 9.949 90.00 90.00 90.00
Space group Fd-3m (No. 227, origin choice 2)
Unique sites:
1 La 0.000 0.000 0.000 (multiplicity 16)
2 Er 0.125 0.125 0.625 (multiplicity 8)
3 O 0.001 0.001 0.749 (multiplicity 32)

The 10 most intense peaks (2θ = 10–90°), by intensity:
29.78 deg, I 100; 51.99 deg, I 40; 47.48 deg, I 37; 25.32 deg, I 32; 73.05 deg, I 23; 31.14 deg, I 19; 44.62 deg, I 14; 61.07 deg, I 13; 84.29 deg, I 12; 61.86 deg, I 9

# 8
LaErZn2Pb2: theoretical XRD peak list (Cu Kα X-rays), based on a structure optimized by DFT (PBE).

Cell and atoms:
```
data_LaErZn2Pb2
_chemical_formula_sum 'La2 Er2 Zn4 Pb4'
_symmetry_space_group_name_H-M 'P 63/m m c'
_symmetry_Int_Tables_number 194
_symmetry_space_group_name_Hall '-P 6c 2c'
_cell_length_a 4.6268
_cell_length_b 4.6268
_cell_length_c 16.5606
_cell_angle_alpha 90.00
_cell_angle_beta 90.00
_cell_angle_gamma 120.00
loop_
_atom_site_label
_atom_site_type_symbol
_atom_site_fract_x
_atom_site_fract_y
_atom_site_fract_z
La1 La 0.0000 0.0000 0.0000
Er1 Er 0.0000 0.0000 0.2500
Zn1 Zn 0.3333 0.6667 0.1687
Pb1 Pb 0.3333 0.6667 0.6166
```

The 10 most intense peaks (2θ = 10–90°), by intensity:
31.06 deg, I 100; 38.93 deg, I 70; 27.51 deg, I 40; 50.62 deg, I 26; 44.47 deg, I 25; 65.64 deg, I 24; 59.97 deg, I 19; 70.51 deg, I 12; 22.83 deg, I 12; 74.37 deg, I 11

# 9
LaErTc: theoretical XRD peak list (Cu Kα X-rays), based on a structure optimized by DFT (PBE).

Cell and atoms:
```
data_LaErTc
_chemical_formula_sum 'La4 Er4 Tc4'
_symmetry_space_group_name_H-M 'F -4 3 m'
_symmetry_Int_Tables_number 216
_symmetry_space_group_name_Hall 'F -4 2 3'
_cell_length_a 6.733
_cell_length_b 6.733
_cell_length_c 6.733
_cell_angle_alpha 90.00
_cell_angle_beta 90.00
_cell_angle_gamma 90.00
loop_
_atom_site_label
_atom_site_type_symbol
_atom_site_fract_x
_atom_site_fract_y
_atom_site_fract_z
La1 La 0.000 0.000 0.000
Er1 Er 0.250 0.250 0.750
Tc1 Tc 0.250 0.250 0.250
```

The 10 most intense peaks (2θ = 10–90°), by intensity:
37.79 deg, I 100; 68.25 deg, I 35; 22.88 deg, I 34; 44.64 deg, I 18; 54.52 deg, I 17; 26.48 deg, I 13; 80.74 deg, I 11; 59.88 deg, I 7; 85.29 deg, I 6; 73.02 deg, I 6

# 10
LiErNO: theoretical XRD peak list (Cu Kα X-rays), based on a structure optimized by DFT (PBE).

Cell and atoms:
```
data_LiErNO
_chemical_formula_sum 'Li4 Er4 N4 O4'
_symmetry_space_group_name_H-M 'P b c m'
_symmetry_Int_Tables_number 57
_cell_length_a 6.431
_cell_length_b 5.768
_cell_length_c 4.559
_cell_angle_alpha 90.00
_cell_angle_beta 90.00
_cell_angle_gamma 90.00
loop_
_symmetry_equiv_pos_as_xyz
'x,y,z'
'-x,-y,-z'
'-x,-y,z+1/2'
'x,y,-z+1/2'
'x,-y+1/2,-z'
'-x,y+1/2,z'
'-x,y+1/2,-z+1/2'
'x,-y+1/2,z+1/2'
loop_
_atom_site_label
_atom_site_type_symbol
_atom_site_fract_x
_atom_site_fract_y
_atom_site_fract_z
Li1 Li 0.102 0.022 0.250
Er1 Er 0.296 0.022 0.750
N1 N 0.051 0.750 0.000
O1 O 0.383 0.096 0.250
```

The 10 most intense peaks (2θ = 10–90°), by intensity:
28.56 deg, I 100; 42.10 deg, I 29; 31.01 deg, I 24; 27.74 deg, I 20; 49.56 deg, I 19; 53.66 deg, I 17; 51.07 deg, I 16; 37.61 deg, I 15; 39.53 deg, I 15; 59.13 deg, I 14

# 11
Li2ErO4: theoretical XRD peak list (Cu Kα X-rays), based on a structure optimized by DFT (PBE).

Cell and atoms:
Lattice parameters (Å, degrees): 8.691 8.691 8.691 90.00 90.00 90.00
Space group Fd-3m (No. 227, origin choice 2)
Unique sites:
1 Li 0.000 0.000 0.000 (multiplicity 16)
2 Er 0.125 0.125 0.625 (multiplicity 8)
3 O 0.014 0.014 0.236 (multiplicity 32)

The 10 most intense peaks (2θ = 10–90°), by intensity:
29.06 deg, I 100; 17.68 deg, I 81; 34.22 deg, I 66; 51.52 deg, I 39; 45.49 deg, I 33; 54.90 deg, I 27; 60.24 deg, I 23; 83.18 deg, I 21; 63.31 deg, I 18; 68.25 deg, I 16

# 12
Li4Er2O5: theoretical XRD peak list (Cu Kα X-rays), based on a structure optimized by DFT (PBE).

Cell and atoms:
```
data_Li4Er2O5
_chemical_formula_sum 'Li8 Er4 O10'
_symmetry_space_group_name_H-M 'C m m m'
_symmetry_Int_Tables_number 65
_symmetry_space_group_name_Hall '-C 2 2'
_cell_length_a 4.427
_cell_length_b 13.428
_cell_length_c 4.418
_cell_angle_alpha 90.00
_cell_angle_beta 90.00
_cell_angle_gamma 90.00
loop_
_atom_site_label
_atom_site_type_symbol
_atom_site_fract_x
_atom_site_fract_y
_atom_site_fract_z
Li1 Li 0.000 0.000 0.000
Li2 Li 0.000 0.187 0.500
Li3 Li 0.000 0.500 0.500
Er1 Er 0.000 0.342 0.000
O1 O 0.000 0.167 0.000
O2 O 0.000 0.343 0.500
O3 O 0.000 0.500 0.000
```

The 10 most intense peaks (2θ = 10–90°), by intensity:
20.10 deg, I 100; 28.35 deg, I 67; 35.00 deg, I 60; 21.13 deg, I 60; 40.81 deg, I 53; 13.19 deg, I 48; 29.32 deg, I 33; 58.69 deg, I 31; 50.47 deg, I 28; 40.30 deg, I 25